[1]
# SbN
Simulated powder diffractogram, Cu Ka. Input: a GGA-PBE-relaxed structure.
No peak broadening, texture or thermal motion is included.

Peak list (6 most intense, 10° ≤ 2θ ≤ 80°, most intense first)
h k l	2θ/deg	I/Imax
1 -1 0	34.85	100.0
0 1 -1	26.29	86.5
0 1 1	25.99	86.4
0 0 1	14.52	66.7
1 0 -1	31.20	49.8
1 0 1	30.36	49.0

Cell lengths 3.3046, 4.1104, 6.1059 Å; angles 89.31, 88.19, 90.00 degrees
Fractional positions:
Sb 0.0000 0.0000 0.0000
Sb 0.4771 0.4928 0.3998
N 0.4952 0.2921 0.0827
N 0.9818 0.7879 0.3172



[2]
# NpIn2Pt2
Simulated powder diffractogram, Cu Ka. Input: a GGA-PBE-relaxed structure.
No peak broadening, texture or thermal motion is included.

Peak list (6 most intense, 10° ≤ 2θ ≤ 80°, most intense first)
h k l	2θ/deg	I/Imax
1 1 3	38.93	100.0
1 1 -3	37.15	92.2
0 1 2	26.47	64.6
0 2 0	39.54	52.0
2 0 0	36.17	51.4
2 2 0	54.66	31.5

Cell lengths 4.9781, 4.5580, 10.0159 Å; angles 90.00, 93.84, 90.00 degrees
Fractional positions:
Np 0.2048 0.2500 0.1578
Np 0.7952 0.7500 0.8422
In 0.2527 0.2500 0.5049
In 0.2823 0.2500 0.8040
In 0.7177 0.7500 0.1960
In 0.7473 0.7500 0.4951
Pt 0.2285 0.7500 0.3406
Pt 0.3082 0.7500 0.9710
Pt 0.6918 0.2500 0.0290
Pt 0.7715 0.2500 0.6594



Q: Number 2 is which compound?
A: NpIn2Pt2